# 1
Simulated powder diffraction line list
Compound: Li5Ac2Ge3
Radiation: Cu Kα (λ = 1.5418 Å)
Structure: the GGA-PBE geometry in Alexandria
Kinematic intensities with the Lorentz-polarization factor, no thermal factor.

Most intense lines, 2θ = 15–90°, in order of rising 2θ:
- d 5.783, I 40
- d 4.261, I 100
- d 3.241, I 66
- d 2.950, I 77
- d 2.827, I 79
- d 2.481, I 54
- d 2.446, I 39
- d 2.292, I 48
- d 1.810, I 38
- d 1.405, I 49

Cell and atoms:
Cell: 4.5832 4.5832 11.5666 Å, 90.00 90.00 90.00°
Element x y z (fractional)
Li 0.0000 0.0000 0.0000
Li 0.0000 0.0000 0.5000
Li 0.0000 0.5000 0.3466
Li 0.5000 0.0000 0.6534
Li 0.5000 0.5000 0.5000
Ac 0.0000 0.5000 0.7907
Ac 0.5000 0.0000 0.2093
Ge 0.0000 0.5000 0.1215
Ge 0.5000 0.0000 0.8785
Ge 0.5000 0.5000 0.0000

=====

# 2
Simulated powder diffraction line list
Compound: Li7Ac3Ge4
Radiation: Cu Kα (λ = 1.5418 Å)
Structure: the GGA-PBE geometry in Alexandria
Kinematic intensities with the Lorentz-polarization factor, no thermal factor.

Most intense lines, 2θ = 15–90°, in order of rising 2θ:
- d 4.382, I 56
- d 4.166, I 62
- d 3.642, I 34
- d 3.446, I 27
- d 2.869, I 34
- d 2.851, I 25
- d 2.795, I 100
- d 2.488, I 60
- d 2.367, I 32
- d 2.082, I 23

Cell and atoms:
Cell: 9.0161 9.0161 8.7753 Å, 118.77 118.77 30.44°
Element x y z (fractional)
Li 0.0000 0.0000 0.0000
Li 0.1388 0.1388 0.9388
Li 0.3367 0.3367 0.4914
Li 0.4867 0.4867 0.7961
Li 0.5133 0.5133 0.2039
Li 0.6633 0.6633 0.5086
Li 0.8612 0.8612 0.0612
Ac 0.0000 0.0000 0.5000
Ac 0.2732 0.2732 0.7798
Ac 0.7268 0.7268 0.2202
Ge 0.1303 0.1303 0.3193
Ge 0.3623 0.3623 0.2140
Ge 0.6377 0.6377 0.7860
Ge 0.8697 0.8697 0.6807